KCdHg2Cl8: calculated X-ray powder pattern (a wavelength of 1.5418 Å), based on a cell relaxed with PBE.
Neutral-atom scattering factors, no anomalous dispersion.

Main lines, by intensity (2θ from 10° to 80°):
hkl, Position (°2θ), Rel. int.
0 1 1, 18.04, 100
1 1 0, 26.58, 49
0 1 2, 24.63, 42
1 0 3, 32.95, 35
2 0 1, 32.32, 33
1 1 4, 47.83, 29

Atomic structure:
Unit cell a=6.7063 b=6.7063 c=9.2351 alpha=90.00 beta=90.00 gamma=120.00
Space group P-3 (No. 147)
Asymmetric unit:
K: 0.0000 0.0000 0.0000
Cd: 0.0000 0.0000 0.5000
Hg: 0.3333 0.6667 0.7324
Cl: 0.0313 0.7051 0.3253
Cl: 0.3333 0.6667 0.0071